1.
Starting from DFT lattice parameters and positions (GGA-PBE), the XRD peak list of La2DySn3 was calculated for Cu Ka.
No peak broadening, texture or thermal motion is included.

Peak list (6 most intense, 2θ = 5–70°, sorted by position)
2θ/deg	Rel. int.
27.68	59.6
28.87	100.0
33.93	35.2
40.43	81.6
44.34	33.7
65.30	20.6

Crystal structure
```
La2DySn3
1.0
5.284 0.000 0.000
0.000 6.445 0.000
0.000 0.000 11.441
La Dy Sn
4 2 6
Cartesian
0.000 0.000 1.993
0.000 0.000 9.448
2.642 3.222 3.728
2.642 3.222 7.713
0.000 0.000 5.721
2.642 3.222 0.000
0.000 3.222 1.633
0.000 3.222 5.721
0.000 3.222 9.808
2.642 0.000 0.000
2.642 0.000 4.087
2.642 0.000 7.354
```

***

2.
Starting from DFT lattice parameters and positions (GGA-PBE), the XRD peak list of La3Dy2Sn4 was calculated for Cu Ka.
No peak broadening, texture or thermal motion is included.

Peak list (6 most intense, 2θ = 5–70°, sorted by position)
2θ/deg	Rel. int.
27.47	34.9
29.02	100.0
29.41	47.5
30.54	30.4
34.21	81.1
38.92	47.0

Crystal structure
```
La3Dy2Sn4
1.0
6.838 -2.314 0.000
6.838 2.314 0.000
-4.319 0.000 9.108
La Dy Sn
3 2 4
Cartesian
0.000 0.000 0.000
3.877 0.000 2.746
5.479 0.000 6.362
1.534 0.000 5.938
7.823 0.000 3.170
-0.825 0.000 3.798
-0.058 0.000 8.541
9.415 0.000 0.567
10.182 0.000 5.309
```

***

3.
Starting from DFT lattice parameters and positions (GGA-PBE), the XRD peak list of La2Tb3Dy5 was calculated for Cu Ka.
No peak broadening, texture or thermal motion is included.

Peak list (6 most intense, 2θ = 5–70°, sorted by position)
2θ/deg	Rel. int.
29.97	100.0
30.69	44.0
30.73	46.6
33.62	43.8
60.66	22.4
64.60	21.5

Crystal structure
```
La2Tb3Dy5
1.0
5.331 -8.137 0.000
5.331 8.137 0.000
-5.322 0.000 7.687
La Tb Dy
4 6 10
Cartesian
1.265 2.071 0.361
-1.396 -2.071 4.204
6.737 2.071 3.483
4.076 -2.071 7.326
1.255 1.987 3.484
4.001 3.660 1.922
-1.405 -1.987 7.328
6.746 1.987 0.359
1.340 -3.660 5.765
4.086 -1.987 4.203
1.340 7.764 5.765
-1.280 1.943 5.985
1.340 4.397 5.765
1.381 -1.943 2.142
4.001 0.458 1.922
1.340 -0.458 5.765
3.960 1.943 5.545
4.001 -4.397 1.922
6.621 -1.943 1.702
4.001 -7.764 1.922
```

***

4.
Starting from DFT lattice parameters and positions (GGA-PBE), the XRD peak list of La2TbDy12 was calculated for Cu Ka.
No peak broadening, texture or thermal motion is included.

Peak list (6 most intense, 2θ = 5–70°, sorted by position)
2θ/deg	Rel. int.
29.67	48.5
30.54	76.3
31.54	100.0
32.85	62.7
33.05	47.1
36.89	57.8

Crystal structure
```
La2TbDy12
1.0
3.553 -5.677 0.000
3.553 5.677 0.000
0.000 0.000 24.866
La Tb Dy
4 2 24
Cartesian
3.553 2.838 5.767
3.553 2.838 19.104
3.553 -2.838 5.762
3.553 -2.838 19.099
3.553 2.838 12.433
3.553 -2.838 12.433
3.553 5.677 10.511
3.553 -5.677 14.355
1.780 2.838 2.095
5.329 -2.838 9.335
1.777 2.838 15.531
5.326 -2.838 22.771
3.553 5.671 23.321
1.776 0.000 4.290
1.776 0.000 7.514
1.776 0.000 17.352
1.776 0.000 20.576
3.553 0.006 23.321
5.326 2.838 2.095
1.777 -2.838 9.335
5.329 2.838 15.531
1.780 -2.838 22.771
3.553 0.000 10.511
3.553 0.000 14.355
3.553 -0.006 1.545
5.329 0.000 4.290
5.329 0.000 7.514
5.329 0.000 17.352
5.329 0.000 20.576
3.553 -5.671 1.545
```

***

5.
Starting from DFT lattice parameters and positions (GGA-PBE), the XRD peak list of La4Tb8Dy was calculated for Cu Ka.
No peak broadening, texture or thermal motion is included.

Peak list (6 most intense, 2θ = 5–70°, sorted by position)
2θ/deg	Rel. int.
19.64	18.4
22.71	18.6
32.28	100.0
32.40	98.6
46.39	35.6
57.62	55.0

Crystal structure
```
La4Tb8Dy
1.0
5.547 3.202 4.504
-5.547 3.202 4.504
0.000 -6.405 4.504
La Tb Dy
4 8 1
Cartesian
0.000 0.000 0.000
-2.773 -1.601 4.504
-2.773 1.601 9.007
0.000 3.202 4.504
0.000 -3.337 5.567
-2.890 1.668 5.567
0.000 0.000 3.228
-2.890 -1.668 7.944
2.890 1.668 5.567
0.000 0.000 10.283
2.890 -1.668 7.944
0.000 3.337 7.944
0.000 0.000 6.756
```

***

6.
Starting from DFT lattice parameters and positions (GGA-PBE), the XRD peak list of La8TbDy3 was calculated for Cu Ka.
No peak broadening, texture or thermal motion is included.

Peak list (6 most intense, 2θ = 5–70°, sorted by position)
2θ/deg	Rel. int.
21.44	19.8
29.85	38.7
30.68	31.5
31.15	100.0
34.66	21.8
50.04	20.1

Crystal structure
```
La8TbDy3
1.0
-3.337 5.631 5.987
3.337 -5.631 5.987
3.337 5.631 -5.987
La Tb Dy
8 1 3
Cartesian
3.335 3.845 -2.994
1.683 2.791 -0.318
4.991 2.791 0.318
0.002 1.787 2.992
3.338 3.845 2.994
1.654 2.841 5.668
-1.654 2.841 6.305
-0.002 1.787 8.981
0.000 0.000 5.987
0.000 0.000 0.000
3.337 0.000 3.007
0.000 5.631 2.980
```

***

7.
Starting from DFT lattice parameters and positions (GGA-PBE), the XRD peak list of La5Tb2Dy2 was calculated for Cu Ka.
No peak broadening, texture or thermal motion is included.

Peak list (6 most intense, 2θ = 5–70°, sorted by position)
2θ/deg	Rel. int.
29.84	100.0
29.95	49.5
30.08	49.0
34.61	33.8
34.73	66.9
59.23	28.6

Crystal structure
```
La5Tb2Dy2
1.0
6.311 0.000 0.000
3.139 5.483 0.000
3.089 1.828 8.996
La Tb Dy
5 2 2
Cartesian
0.000 0.000 0.000
4.153 3.652 6.014
7.312 5.490 6.007
5.227 1.821 2.990
8.386 3.659 2.982
6.233 3.641 8.996
6.307 3.670 0.001
5.227 5.487 2.984
7.313 1.823 6.012
```

***

8.
Starting from DFT lattice parameters and positions (GGA-PBE), the XRD peak list of La4TbDy3 was calculated for Cu Ka.
No peak broadening, texture or thermal motion is included.

Peak list (6 most intense, 2θ = 5–70°, sorted by position)
2θ/deg	Rel. int.
8.58	2.5
30.02	100.0
34.80	50.6
50.04	35.9
59.46	42.5
62.39	12.2

Crystal structure
```
La4TbDy3
1.0
5.158 0.000 0.000
0.000 10.317 0.000
0.000 0.000 10.304
La Tb Dy
8 2 6
Cartesian
1.289 0.003 1.320
1.289 2.579 8.979
1.289 5.156 1.320
1.289 7.738 8.984
3.868 10.314 8.984
3.868 2.579 1.320
3.868 5.161 8.984
3.868 7.738 1.325
1.289 2.579 3.950
3.868 7.738 6.354
1.289 10.315 6.356
1.289 5.161 6.356
1.289 7.738 3.944
3.868 0.002 3.948
3.868 2.579 6.360
3.868 5.156 3.948
```